# Li2Mn3O7
Computed X-ray powder pattern, Cu Kα, 1.54184 Å. Input: a cell relaxed with GGA+U.
Neutral-atom scattering factors, no anomalous dispersion.

Structural model:
```
data_Li2Mn3O7
_chemical_formula_sum 'Li4 Mn6 O14'
_cell_length_a 6.1115
_cell_length_b 6.4804
_cell_length_c 7.6383
_cell_angle_alpha 103.77
_cell_angle_beta 111.67
_cell_angle_gamma 105.41
_space_group_name_H-M_alt 'P -1'
_space_group_IT_number 2
loop_
_space_group_symop_operation_xyz
'x,y,z'
'-x,-y,-z'
loop_
_atom_site_label
_atom_site_type_symbol
_atom_site_fract_x
_atom_site_fract_y
_atom_site_fract_z
Li1 Li 0.2116 0.3448 0.0307
Li2 Li 0.2339 0.2315 0.5842
Mn1 Mn 0.1417 0.6438 0.7212
Mn2 Mn 0.2828 0.7773 0.4224
Mn3 Mn 0.4192 0.9222 0.1408
O1 O 0.0725 0.3595 0.7562
O2 O 0.0866 0.7933 0.9310
O3 O 0.2111 0.5057 0.4911
O4 O 0.2164 0.9163 0.6449
O5 O 0.3527 0.0562 0.3632
O6 O 0.3893 0.6718 0.2279
O7 O 0.5004 0.2063 0.0753
```

Peak list (8 most intense, 5° ≤ 2θ ≤ 70°, in order of rising 2θ)
2theta	I/Imax
17.86	100
36.16	12
36.37	10
36.79	12
42.73	18
43.42	18
44.63	17
64.63	10